# 1
This entry pairs a crystal structure of La2MgRhO6 with its calculated X-ray diffraction stick pattern. Radiation: Cu Kα. Structure: a cell relaxed with GGA-PBE.
Kinematic intensities with the Lorentz-polarization factor, no thermal factor.

Most intense lines, 2θ = 10–90°, low angle first:
d [Å]	Rel. int.
2.857	22
2.816	100
2.796	25
1.998	24
1.619	29
1.256	17

Cell and atoms:
a = 5.5925 Å, b = 5.7130 Å, c = 9.7033 Å
α = 90.00°, β = 125.10°, γ = 90.00°
Space group P2_1/c (No. 14)
Inequivalent atoms, fractional coordinates:
La 0.2399 0.0482 0.2506 [4 per cell]
Mg 0.5000 0.0000 0.0000 [2 per cell]
Rh 0.0000 0.0000 0.5000 [2 per cell]
O 0.1547 0.2103 0.9531 [4 per cell]
O 0.2443 0.7048 0.9532 [4 per cell]
O 0.3343 0.0237 0.7473 [4 per cell]


# 2
This entry pairs a crystal structure of Sr2La2MgRuO8 with its calculated X-ray diffraction stick pattern. Radiation: Cu Kα. Structure: a cell relaxed with GGA-PBE.
Kinematic intensities with the Lorentz-polarization factor, no thermal factor.

Most intense lines, 2θ = 10–90°, low angle first:
d [Å]	Rel. int.
2.888	100
2.879	99
2.792	69
2.782	70
2.095	37
1.965	37

Cell and atoms:
a = 3.9302 Å, b = 6.9302 Å, c = 15.3388 Å
α = 81.01°, β = 82.86°, γ = 73.55°
Space group P-1 (No. 2)
Inequivalent atoms, fractional coordinates:
Sr 0.1489 0.2426 0.4631 [2 per cell]
Sr 0.1493 0.9971 0.7164 [2 per cell]
La 0.1478 0.5105 0.2071 [2 per cell]
La 0.1520 0.7660 0.9620 [2 per cell]
Mg 0.4981 0.8772 0.1252 [2 per cell]
Ru 0.4999 0.3773 0.6246 [2 per cell]
O 0.0017 0.6212 0.3734 [2 per cell]
O 0.0049 0.8650 0.1235 [2 per cell]
O 0.3346 0.1918 0.1605 [2 per cell]
O 0.3377 0.4460 0.9141 [2 per cell]
O 0.3401 0.9116 0.4140 [2 per cell]
O 0.3430 0.6607 0.6699 [2 per cell]
O 0.4941 0.2603 0.7499 [2 per cell]
O 0.5000 0.0000 0.0000 [1 per cell]
O 0.5000 0.5000 0.5000 [1 per cell]